1.
The following is a theoretical powder X-ray diffraction pattern of Pm2SiSbPd6. It was derived from a structure optimized by DFT (PBE), using λ = 1.5418 Å (Cu Kα).
Neutral-atom scattering factors, no anomalous dispersion.

The 6 most intense peaks (2θ = 15–90°), sorted by position:
- 27.94 deg, d 3.193, rel. 40.1
- 29.26 deg, d 3.053, rel. 50.2
- 38.28 deg, d 2.351, rel. 58.0
- 38.63 deg, d 2.331, rel. 56.5
- 41.21 deg, d 2.190, rel. 100.0
- 57.74 deg, d 1.597, rel. 34.5

Crystal structure
```
Pm2SiSbPd6
1.0
5.572 0.000 0.000
0.000 8.767 0.000
0.000 0.000 8.507
Pm Si Sb Pd
4 2 2 12
direct
0.250 0.002 0.242
0.250 0.498 0.242
0.750 0.502 0.758
0.750 0.998 0.758
0.250 0.750 0.736
0.750 0.250 0.264
0.250 0.250 0.781
0.750 0.750 0.219
0.002 0.250 0.497
0.005 0.750 0.962
0.250 0.502 0.608
0.250 0.998 0.608
0.495 0.750 0.962
0.498 0.250 0.497
0.502 0.750 0.503
0.505 0.250 0.038
0.750 0.002 0.392
0.750 0.498 0.392
0.995 0.250 0.038
0.998 0.750 0.503
```

2.
The following is a theoretical powder X-ray diffraction pattern of CeNdTcI. It was derived from a structure optimized by DFT (PBE), using λ = 1.5418 Å (Cu Kα).
Neutral-atom scattering factors, no anomalous dispersion.

The 6 most intense peaks (2θ = 15–90°), sorted by position:
- 26.31 deg, d 3.387, rel. 24.6
- 29.60 deg, d 3.018, rel. 49.7
- 31.03 deg, d 2.882, rel. 44.5
- 31.20 deg, d 2.867, rel. 100.0
- 33.21 deg, d 2.697, rel. 22.2
- 43.35 deg, d 2.087, rel. 44.2

Crystal structure
```
CeNdTcI
1.0
3.996 0.000 0.000
1.996 3.674 0.000
1.994 0.950 8.092
Ce Nd Tc I
1 1 1 1
direct
0.000 0.000 0.000
0.240 0.144 0.373
0.673 0.512 0.139
0.456 0.410 0.677
```

3.
The following is a theoretical powder X-ray diffraction pattern of PrCuH6Pd. It was derived from a structure optimized by DFT (PBE), using λ = 1.5418 Å (Cu Kα).
Neutral-atom scattering factors, no anomalous dispersion.

The 6 most intense peaks (2θ = 15–90°), sorted by position:
- 30.03 deg, d 2.976, rel. 100.0
- 38.99 deg, d 2.310, rel. 45.5
- 40.53 deg, d 2.226, rel. 13.2
- 49.99 deg, d 1.825, rel. 24.0
- 57.50 deg, d 1.603, rel. 29.3
- 65.15 deg, d 1.432, rel. 21.2

Crystal structure
```
PrCuH6Pd
1.0
4.620 0.000 0.000
-2.310 4.001 0.000
0.000 0.000 4.452
Pr Cu H Pd
1 1 6 1
direct
0.000 0.000 0.000
0.333 0.667 0.500
0.008 0.504 0.241
0.008 0.504 0.759
0.496 0.504 0.241
0.496 0.504 0.759
0.496 0.992 0.241
0.496 0.992 0.759
0.667 0.333 0.500
```

4.
The following is a theoretical powder X-ray diffraction pattern of TaP4S4Cl5. It was derived from a structure optimized by DFT (PBE), using λ = 1.5418 Å (Cu Kα).
Neutral-atom scattering factors, no anomalous dispersion.

The 6 most intense peaks (2θ = 15–90°), sorted by position:
- 17.13 deg, d 5.175, rel. 80.6
- 18.09 deg, d 4.902, rel. 100.0
- 19.30 deg, d 4.599, rel. 64.5
- 20.17 deg, d 4.403, rel. 79.0
- 28.47 deg, d 3.136, rel. 44.1
- 39.24 deg, d 2.296, rel. 43.7

Crystal structure
```
TaP4S4Cl5
1.0
7.220 0.000 0.000
3.514 9.079 0.000
0.806 3.465 13.838
Ta P S Cl
2 8 8 10
direct
0.134 0.264 0.329
0.866 0.736 0.671
0.071 0.087 0.833
0.118 0.618 0.076
0.121 0.558 0.247
0.286 0.822 0.172
0.714 0.178 0.828
0.879 0.442 0.753
0.882 0.382 0.924
0.929 0.913 0.167
0.120 0.260 0.722
0.123 0.171 0.949
0.345 0.711 0.056
0.351 0.621 0.284
0.649 0.379 0.716
0.655 0.289 0.944
0.877 0.829 0.051
0.880 0.740 0.278
0.110 0.621 0.572
0.112 0.657 0.793
0.146 0.019 0.384
0.376 0.221 0.211
0.377 0.257 0.433
0.623 0.743 0.567
0.624 0.779 0.789
0.854 0.981 0.616
0.888 0.343 0.207
0.890 0.379 0.428
```

5.
The following is a theoretical powder X-ray diffraction pattern of BaGaAg2Se4. It was derived from a structure optimized by DFT (PBE), using λ = 1.5418 Å (Cu Kα).
Neutral-atom scattering factors, no anomalous dispersion.

The 6 most intense peaks (2θ = 15–90°), sorted by position:
- 27.75 deg, d 3.214, rel. 100.0
- 29.77 deg, d 3.001, rel. 26.6
- 35.28 deg, d 2.544, rel. 45.6
- 45.40 deg, d 1.998, rel. 27.2
- 45.53 deg, d 1.992, rel. 26.9
- 50.83 deg, d 1.796, rel. 27.9

Crystal structure
```
BaGaAg2Se4
1.0
-3.590 3.606 4.147
3.590 -3.606 4.147
3.590 3.606 -4.147
Ba Ga Ag Se
1 1 2 4
direct
0.000 0.000 0.000
0.500 0.500 0.000
0.263 0.763 0.500
0.737 0.237 0.500
0.135 0.135 0.606
0.471 0.865 0.000
0.529 0.529 0.394
0.865 0.471 0.000
```

6.
The following is a theoretical powder X-ray diffraction pattern of Ho2Hg5. It was derived from a structure optimized by DFT (PBE), using λ = 1.5418 Å (Cu Kα).
Neutral-atom scattering factors, no anomalous dispersion.

The 6 most intense peaks (2θ = 15–90°), sorted by position:
- 33.10 deg, d 2.706, rel. 51.3
- 33.68 deg, d 2.661, rel. 57.5
- 34.80 deg, d 2.578, rel. 100.0
- 35.59 deg, d 2.522, rel. 90.1
- 47.95 deg, d 1.897, rel. 37.0
- 60.96 deg, d 1.520, rel. 20.2

Crystal structure
```
Ho2Hg5
1.0
4.447 -2.661 0.000
4.447 2.661 0.000
-3.774 0.000 7.336
Ho Hg
2 5
direct
0.238 0.238 0.172
0.762 0.762 0.828
0.066 0.066 0.740
0.351 0.351 0.588
0.500 0.500 0.000
0.649 0.649 0.412
0.934 0.934 0.260
```

7.
The following is a theoretical powder X-ray diffraction pattern of LiTl3Hg5. It was derived from a structure optimized by DFT (PBE), using λ = 1.5418 Å (Cu Kα).
Neutral-atom scattering factors, no anomalous dispersion.

The 6 most intense peaks (2θ = 15–90°), sorted by position:
- 30.56 deg, d 2.925, rel. 57.4
- 32.84 deg, d 2.727, rel. 100.0
- 34.77 deg, d 2.580, rel. 56.2
- 34.88 deg, d 2.572, rel. 34.6
- 58.49 deg, d 1.578, rel. 26.5
- 65.15 deg, d 1.432, rel. 18.7

Crystal structure
```
LiTl3Hg5
1.0
8.937 0.000 0.000
-4.469 7.740 0.000
0.000 0.000 3.442
Li Tl Hg
1 3 5
direct
0.000 0.000 0.000
0.000 0.618 0.000
0.382 0.382 0.000
0.618 0.000 0.000
0.000 0.263 0.500
0.263 0.000 0.500
0.333 0.667 0.500
0.667 0.333 0.500
0.737 0.737 0.500
```

8.
The following is a theoretical powder X-ray diffraction pattern of KPuNpS4. It was derived from a structure optimized by DFT (PBE), using λ = 1.5418 Å (Cu Kα).
Neutral-atom scattering factors, no anomalous dispersion.

The 6 most intense peaks (2θ = 15–90°), sorted by position:
- 24.91 deg, d 3.574, rel. 93.8
- 25.03 deg, d 3.558, rel. 45.9
- 25.98 deg, d 3.429, rel. 37.8
- 26.17 deg, d 3.405, rel. 36.6
- 30.20 deg, d 2.959, rel. 100.0
- 43.23 deg, d 2.093, rel. 62.8

Crystal structure
```
KPuNpS4
1.0
-4.162 4.206 5.922
4.162 -4.206 5.922
4.162 4.206 -5.922
K Pu Np S
2 2 2 8
direct
0.375 0.125 0.250
0.625 0.875 0.750
0.000 0.500 0.500
0.500 0.500 0.000
0.000 0.000 0.500
0.000 0.500 0.000
0.190 0.732 0.458
0.225 0.268 0.958
0.227 0.265 0.538
0.227 0.689 0.962
0.773 0.311 0.038
0.773 0.735 0.462
0.775 0.732 0.042
0.810 0.268 0.542
```